The following is a calculated powder diffractogram of HfInCuTe3. It was derived from a structure optimized by DFT (PBE), using Cu Kα.
Intensities are scaled so that the largest is 100.

Most intense lines, 10 to 90 degrees two-theta, by angle:
(hkl)  2θ/deg  I (rel.)
2 1 0  25.5  37
1 1 2  26.8  32
3 1 1  30.9  32
1 1 3  31.4  100
3 1 2  33.5  44
5 0 1  36.0  32
1 1 4  37.0  79
5 1 1  42.2  33
0 2 0  43.4  65
5 1 3  47.4  41

Crystal structure
Unit cell a=12.7294 b=4.1726 c=12.2827 alpha=90.00 beta=90.00 gamma=90.00
Atoms (fractional coordinates):
Hf  0.0445  0.2500  0.1779
Hf  0.4555  0.7500  0.6779
Hf  0.5445  0.2500  0.3221
Hf  0.9555  0.7500  0.8221
In  0.1929  0.2500  0.4806
In  0.3071  0.7500  0.9806
In  0.6929  0.2500  0.0194
In  0.8071  0.7500  0.5194
Cu  0.2287  0.7500  0.3067
Cu  0.2713  0.2500  0.8067
Cu  0.7287  0.7500  0.1933
Cu  0.7713  0.2500  0.6933
Te  0.0247  0.7500  0.3456
Te  0.0893  0.2500  0.9296
Te  0.2354  0.7500  0.6830
Te  0.2646  0.2500  0.1830
Te  0.4107  0.7500  0.4296
Te  0.4753  0.2500  0.8456
Te  0.5247  0.7500  0.1544
Te  0.5893  0.2500  0.5704
Te  0.7354  0.7500  0.8170
Te  0.7646  0.2500  0.3170
Te  0.9107  0.7500  0.0704
Te  0.9753  0.2500  0.6544

---

The following is a calculated powder diffractogram of KHfCu3Te4. It was derived from a structure optimized by DFT (PBE), using Cu Kα.
Intensities are scaled so that the largest is 100.

Most intense lines, 10 to 90 degrees two-theta, by angle:
(hkl)  2θ/deg  I (rel.)
0 1 1  13.9  48
1 1 -1  18.5  16
1 0 2  26.3  21
1 0 -3  26.4  100
2 1 0  32.1  19
2 2 1  40.6  40
2 2 -3  40.7  38
0 4 0  44.2  24
0 0 5  44.8  16
2 2 -4  45.6  15

Crystal structure
Unit cell a=6.1927 b=8.2028 c=10.5664 alpha=90.00 beta=106.79 gamma=90.00
Atoms (fractional coordinates):
K  0.1846  0.2500  0.3932
K  0.8154  0.7500  0.6068
Hf  0.1433  0.2500  0.7904
Hf  0.8567  0.7500  0.2096
Cu  0.2887  0.5108  0.9978
Cu  0.2887  0.9892  0.9978
Cu  0.3404  0.7500  0.1883
Cu  0.6596  0.2500  0.8117
Cu  0.7113  0.0108  0.0022
Cu  0.7113  0.4892  0.0022
Te  0.0306  0.2500  0.0275
Te  0.2319  0.7500  0.4168
Te  0.3972  0.5197  0.7731
Te  0.3972  0.9803  0.7731
Te  0.6028  0.0197  0.2269
Te  0.6028  0.4803  0.2269
Te  0.7681  0.2500  0.5832
Te  0.9694  0.7500  0.9725

---

The following is a calculated powder diffractogram of LiHfCu3S4. It was derived from a structure optimized by DFT (PBE), using Cu Kα.
Intensities are scaled so that the largest is 100.

Most intense lines, 10 to 90 degrees two-theta, by angle:
(hkl)  2θ/deg  I (rel.)
0 0 1  10.1  86
0 1 1  15.7  100
0 2 2  31.7  15
2 0 0  32.0  16
2 1 -1  33.6  21
2 1 1  38.0  26
1 3 0  40.0  17
2 2 -2  42.1  12
2 2 -3  46.6  18
2 2 2  49.2  18

Crystal structure
Unit cell a=5.7351 b=7.3867 c=8.9733 alpha=90.00 beta=103.18 gamma=90.00
Atoms (fractional coordinates):
Li  0.1443  0.2500  0.1946
Li  0.8557  0.7500  0.8054
Hf  0.2860  0.2500  0.7060
Hf  0.7140  0.7500  0.2940
Cu  0.2100  0.7500  0.2349
Cu  0.2663  0.5578  0.4833
Cu  0.2663  0.9422  0.4833
Cu  0.7337  0.0578  0.5167
Cu  0.7337  0.4422  0.5167
Cu  0.7900  0.2500  0.7651
S  0.0152  0.2500  0.4496
S  0.1383  0.2500  0.9287
S  0.4483  0.0061  0.2804
S  0.4483  0.4939  0.2804
S  0.5517  0.5061  0.7196
S  0.5517  0.9939  0.7196
S  0.8617  0.7500  0.0713
S  0.9848  0.7500  0.5504

---

The following is a calculated powder diffractogram of LiHfCuSe2S. It was derived from a structure optimized by DFT (PBE), using Cu Kα.
Intensities are scaled so that the largest is 100.

Most intense lines, 10 to 90 degrees two-theta, by angle:
(hkl)  2θ/deg  I (rel.)
1 0 -1  14.0  100
1 0 1  18.1  19
1 1 0  27.1  26
1 1 1  30.2  16
0 0 3  30.8  31
2 1 -1  34.7  24
2 1 0  35.1  39
1 1 -3  38.9  27
0 2 0  49.0  15
2 1 -4  49.7  24

Crystal structure
Unit cell a=7.2868 b=3.7202 c=9.0040 alpha=90.00 beta=104.88 gamma=90.00
Atoms (fractional coordinates):
Li  0.2356  0.2500  0.2034
Li  0.7644  0.7500  0.7966
Hf  0.1814  0.7500  0.6673
Hf  0.8186  0.2500  0.3327
Cu  0.4123  0.2500  0.9073
Cu  0.5877  0.7500  0.0927
Se  0.2223  0.7500  0.9686
Se  0.4342  0.2500  0.6464
Se  0.5658  0.7500  0.3536
Se  0.7777  0.2500  0.0314
S  0.0725  0.7500  0.3620
S  0.9275  0.2500  0.6380